Structure and theoretical PXRD pattern of MnBi12W2Cl3O24 (a cell relaxed with PBE+U; Cu Kα).
Neutral-atom scattering factors, no anomalous dispersion.

Structure:
Unit cell a=16.9151 b=5.5126 c=15.4870 alpha=90.00 beta=111.35 gamma=90.00
Space group Cm (No. 8)
Inequivalent atoms, fractional coordinates:
Mn1 0.0000 0.0000 0.0000 x2
Bi1 0.0268 0.5000 0.1802 x2
Bi2 0.0350 0.5000 0.6413 x2
Bi3 0.0706 0.0000 0.8252 x2
Bi4 0.1088 0.0000 0.3589 x2
Bi5 0.1873 0.0000 0.1748 x2
Bi6 0.1999 0.0000 0.6381 x2
Bi7 0.2433 0.5000 0.8132 x2
Bi8 0.2739 0.5000 0.3588 x2
Bi9 0.3678 0.5000 0.1870 x2
Bi10 0.3695 0.5000 0.6408 x2
Bi11 0.4068 0.0000 0.8195 x2
Bi12 0.4412 0.0000 0.3618 x2
W1 0.1674 0.5000 0.0000 x2
W2 0.3379 0.0000 0.9999 x2
Cl1 0.1607 0.5000 0.4981 x2
Cl2 0.3271 0.0000 0.4992 x2
Cl3 0.4955 0.5000 0.5026 x2
O1 0.0025 0.2528 0.2854 x4
O2 0.0494 0.0000 0.1340 x2
O3 0.0946 0.2484 0.9999 x4
O4 0.1331 0.5000 0.8642 x2
O5 0.1465 0.2555 0.7127 x4
O6 0.1677 0.2480 0.2817 x4
O7 0.2235 0.5000 0.1356 x2
O8 0.2565 0.2526 0.9999 x4
O9 0.2922 0.0000 0.8611 x2
O10 0.3123 0.2472 0.7144 x4
O11 0.3379 0.2555 0.2875 x4
O12 0.3846 0.0000 0.1388 x2
O13 0.4179 0.2372 0.0001 x4
O14 0.4599 0.5000 0.8659 x2
O15 0.4798 0.2518 0.7182 x4

Largest 6 diffraction maxima, sorted by position, 2θ from 10° to 90°:
2θ/deg	Rel. int.
23.4	15
29.3	100
31.7	18
32.5	22
46.1	18
56.0	17